Diffraction record for V2AgO5. The PXRD pattern is theoretical, not measured: it uses a DFT-relaxed cell (PBE+U, Alexandria) and Cu Ka.

Crystal structure
```
V2AgO5
1.0
3.6475 0.0000 0.0000
0.0000 11.5595 0.0000
0.0000 0.0000 5.1130
V Ag O
4 2 10
direct
0.2500 0.1010 0.0904 V
0.2500 0.3990 0.0904 V
0.7500 0.6010 0.9096 V
0.7500 0.8990 0.9096 V
0.2500 0.7500 0.4140 Ag
0.7500 0.2500 0.5860 Ag
0.2500 0.1212 0.4124 O
0.2500 0.2500 0.9584 O
0.2500 0.3788 0.4124 O
0.2500 0.5694 0.0159 O
0.2500 0.9306 0.0159 O
0.7500 0.0694 0.9841 O
0.7500 0.4306 0.9841 O
0.7500 0.6212 0.5876 O
0.7500 0.7500 0.0416 O
0.7500 0.8788 0.5876 O
```

Most intense lines, 2θ from 10° to 90°, in order of falling intensity:
- 23.23 deg, rel. 100, (0 2 1)
- 31.10 deg, rel. 99, (1 1 1)
- 33.84 deg, rel. 80, (1 3 0)
- 29.02 deg, rel. 55, (0 3 1)
- 30.10 deg, rel. 54, (1 0 1)
- 50.01 deg, rel. 45, (2 0 0)
- 15.33 deg, rel. 45, (0 2 0)
- 46.12 deg, rel. 36, (1 2 2)
- 35.69 deg, rel. 33, (0 4 1)
- 35.98 deg, rel. 30, (0 1 2)